Entry 1:
NaLi2CoF6: calculated PXRD pattern (Cu Kα (weighted mean of Kα1 and Kα2)), based on DFT lattice parameters and positions (GGA+U).
Intensities are scaled so that the largest is 100.

Largest 10 diffraction maxima, by intensity, 15 to 90 degrees two-theta:
- 22.3°, rel. 100
- 45.5°, rel. 42
- 19.3°, rel. 37
- 51.2°, rel. 33
- 66.3°, rel. 21
- 31.7°, rel. 20
- 70.9°, rel. 13
- 37.4°, rel. 8
- 56.5°, rel. 7
- 60.3°, rel. 7

Crystal structure
```
NaLi2CoF6
1.0
0.0000 3.9886 3.9886
3.9886 0.0000 3.9886
3.9886 3.9886 0.0000
Na Li Co F
1 2 1 6
direct
0.0000 0.0000 0.0000
0.2500 0.2500 0.2500
0.7500 0.7500 0.7500
0.5000 0.5000 0.5000
0.2686 0.2686 0.7314
0.2686 0.7314 0.2686
0.2686 0.7314 0.7314
0.7314 0.2686 0.2686
0.7314 0.2686 0.7314
0.7314 0.7314 0.2686
```

***

Entry 2:
LiTiFe5O8: calculated PXRD pattern (Cu Kα (weighted mean of Kα1 and Kα2)), based on DFT lattice parameters and positions (GGA+U).
Intensities are scaled so that the largest is 100.

Largest 10 diffraction maxima, by intensity, 15 to 90 degrees two-theta:
- 34.6°, rel. 100
- 34.3°, rel. 67
- 33.7°, rel. 40
- 35.4°, rel. 38
- 34.8°, rel. 36
- 41.6°, rel. 36
- 41.2°, rel. 33
- 34.0°, rel. 32
- 28.2°, rel. 32
- 35.1°, rel. 31

Crystal structure
```
LiTiFe5O8
1.0
5.9477 0.0000 0.0000
-2.9174 5.2114 0.0000
-0.0386 -3.4094 5.3159
Li Ti Fe O
1 1 5 8
direct
0.0000 0.0000 0.0000
0.5000 0.0000 0.5000
0.0000 0.5000 0.0000
0.1392 0.2998 0.4530
0.5000 0.0000 0.0000
0.5000 0.5000 0.0000
0.8608 0.7002 0.5470
0.2545 0.9931 0.7257
0.2609 0.0120 0.2768
0.2678 0.5373 0.2840
0.2712 0.5445 0.8109
0.7288 0.4555 0.1891
0.7322 0.4627 0.7160
0.7391 0.9880 0.7232
0.7455 0.0069 0.2743
```